No. 1
For Pr4ErTm3, a cell relaxed with PBE gives the simulated powder diffraction line list in this record (CuKα).
Kinematic intensities with the Lorentz-polarization factor, no thermal factor.

Structure:
```
Pr4ErTm3
1.0
5.108 0.000 0.000
0.000 10.215 0.000
0.000 0.000 10.164
Pr Er Tm
8 2 6
direct
0.250 0.000 0.131
0.250 0.250 0.869
0.250 0.500 0.131
0.250 0.750 0.869
0.750 0.000 0.869
0.750 0.250 0.131
0.750 0.500 0.869
0.750 0.750 0.131
0.250 0.250 0.382
0.750 0.750 0.618
0.250 0.000 0.618
0.250 0.500 0.618
0.250 0.750 0.382
0.750 0.000 0.382
0.750 0.250 0.618
0.750 0.500 0.382
```

Principal peaks in the range 2θ = 10–90°, sorted by position:
2θ (°)  intensity
30.4  1000
35.1  342
35.3  164
50.5  122
50.7  236
60.1  289
60.4  135
63.2  122

---

No. 2
For CeSm6Tm, a cell relaxed with PBE gives the simulated powder diffraction line list in this record (CuKα).
Kinematic intensities with the Lorentz-polarization factor, no thermal factor.

Structure:
```
CeSm6Tm
1.0
0.000 5.078 7.206
3.601 0.000 7.206
3.601 5.078 0.000
Ce Sm Tm
1 6 1
direct
0.000 0.000 0.000
0.122 0.122 0.378
0.248 0.248 0.752
0.378 0.378 0.122
0.622 0.622 0.878
0.752 0.752 0.248
0.878 0.878 0.622
0.500 0.500 0.500
```

Principal peaks in the range 2θ = 10–90°, sorted by position:
2θ (°)  intensity
30.4  1000
35.2  338
35.4  168
50.7  120
50.8  240
60.3  285
60.4  143
63.3  123

---

No. 3
For PrHg2Bi2, a cell relaxed with PBE gives the simulated powder diffraction line list in this record (CuKα).
Kinematic intensities with the Lorentz-polarization factor, no thermal factor.

Structure:
```
PrHg2Bi2
1.0
2.350 -13.108 0.000
2.350 13.108 0.000
0.000 0.000 4.700
Pr Hg Bi
2 4 4
direct
0.145 0.855 0.750
0.855 0.145 0.250
0.043 0.957 0.250
0.455 0.545 0.250
0.545 0.455 0.750
0.957 0.043 0.750
0.250 0.750 0.250
0.360 0.640 0.750
0.640 0.360 0.250
0.750 0.250 0.750
```

Principal peaks in the range 2θ = 10–90°, sorted by position:
2θ (°)  intensity
31.9  1000
34.2  183
38.3  321
52.3  224
55.3  113
59.8  121
65.2  265
66.6  110

---

No. 4
For NdCd4Cu, a cell relaxed with PBE gives the simulated powder diffraction line list in this record (CuKα).
Kinematic intensities with the Lorentz-polarization factor, no thermal factor.

Structure:
```
NdCd4Cu
1.0
8.326 0.000 0.000
0.000 4.304 0.000
0.000 0.000 7.530
Nd Cd Cu
2 8 2
direct
0.250 0.000 0.110
0.750 0.000 0.890
0.000 0.000 0.500
0.059 0.500 0.813
0.250 0.500 0.439
0.441 0.500 0.813
0.500 0.000 0.500
0.559 0.500 0.187
0.750 0.500 0.561
0.941 0.500 0.187
0.250 0.000 0.715
0.750 0.000 0.285
```

Principal peaks in the range 2θ = 10–90°, sorted by position:
2θ (°)  intensity
32.2  1000
33.4  592
34.4  187
35.8  206
37.4  228
38.4  522
42.0  431
43.5  158

---

No. 5
For Ce2GeAu3, a cell relaxed with PBE gives the simulated powder diffraction line list in this record (CuKα).
Kinematic intensities with the Lorentz-polarization factor, no thermal factor.

Structure:
```
Ce2GeAu3
1.0
3.520 0.000 0.000
0.000 4.670 0.000
0.000 0.000 8.208
Ce Ge Au
2 1 3
direct
0.000 0.000 0.000
0.000 0.500 0.491
0.500 0.500 0.826
0.500 0.000 0.333
0.500 0.000 0.672
0.500 0.500 0.150
```

Principal peaks in the range 2θ = 10–90°, sorted by position:
2θ (°)  intensity
25.3  197
33.5  475
33.7  1000
38.1  802
38.6  397
52.0  445
66.2  466
66.5  161

---

No. 6
For ZnFe4, a cell relaxed with PBE gives the simulated powder diffraction line list in this record (CuKα).
Kinematic intensities with the Lorentz-polarization factor, no thermal factor.

Structure:
```
ZnFe4
1.0
-2.890 2.890 1.807
2.890 -2.890 1.807
2.890 2.890 -1.807
Zn Fe
1 4
direct
0.000 0.000 0.000
0.199 0.599 0.797
0.401 0.199 0.600
0.599 0.801 0.400
0.801 0.401 0.203
```

Principal peaks in the range 2θ = 10–90°, sorted by position:
2θ (°)  intensity
43.0  1000
49.9  315
50.5  151
73.2  90
73.7  177
88.9  213
89.9  104

---

No. 7
For TlPN, a cell relaxed with PBE gives the simulated powder diffraction line list in this record (CuKα).
Kinematic intensities with the Lorentz-polarization factor, no thermal factor.

Structure:
```
TlPN
1.0
4.789 0.000 0.000
0.000 6.174 0.000
0.000 0.000 9.227
Tl P N
4 4 4
direct
0.113 0.190 0.162
0.387 0.810 0.662
0.613 0.310 0.838
0.887 0.690 0.338
0.170 0.301 0.587
0.330 0.699 0.087
0.670 0.199 0.413
0.830 0.801 0.913
0.171 0.770 0.933
0.329 0.230 0.433
0.671 0.730 0.067
0.829 0.270 0.567
```

Principal peaks in the range 2θ = 10–90°, sorted by position:
2θ (°)  intensity
20.9  597
25.4  544
26.8  407
28.9  334
30.5  1000
32.5  508
36.0  235
40.4  313

---

No. 8
For Na2LiCO4, a cell relaxed with PBE gives the simulated powder diffraction line list in this record (CuKα).
Kinematic intensities with the Lorentz-polarization factor, no thermal factor.

Structure:
```
Na2LiCO4
1.0
-2.852 2.852 2.574
2.852 -2.852 2.574
2.852 2.852 -2.574
Na Li C O
2 1 1 4
direct
0.000 0.500 0.500
0.500 0.000 0.500
0.000 0.000 0.000
0.500 0.500 0.000
0.196 0.196 0.723
0.473 0.473 0.277
0.527 0.804 0.000
0.804 0.527 0.000
```

Principal peaks in the range 2θ = 10–90°, sorted by position:
2θ (°)  intensity
23.3  1000
31.4  732
39.4  944
41.6  736
45.0  383
47.6  702
50.6  561
58.1  476